# 1
Structure and calculated X-ray diffraction stick pattern of Cs2KCuP (a PBE-relaxed structure; Cu Ka).
Neutral-atom scattering factors, no anomalous dispersion.

Main lines, sorted by position (2θ = 10–90°):
17.58 deg, 5.045 Å, intensity 18; 20.34 deg, 4.365 Å, intensity 32; 24.96 deg, 3.567 Å, intensity 100; 27.01 deg, 3.301 Å, intensity 70; 32.41 deg, 2.762 Å, intensity 41; 35.59 deg, 2.523 Å, intensity 39; 41.35 deg, 2.184 Å, intensity 34; 45.24 deg, 2.004 Å, intensity 36; 48.92 deg, 1.862 Å, intensity 30; 55.68 deg, 1.651 Å, intensity 29

Cell lengths 7.1348, 7.1348, 4.3651 Å; angles 90.00, 90.00, 90.00 degrees
Element x y z (fractional)
Cs: 0.0000 0.5000 0.0000
Cs: 0.5000 0.0000 0.0000
K: 0.0000 0.0000 0.5000
Cu: 0.5000 0.5000 0.0000
P: 0.5000 0.5000 0.5000

---

# 2
Structure and calculated X-ray diffraction stick pattern of CsKCuSe2 (a PBE-relaxed structure; Cu Ka).
Neutral-atom scattering factors, no anomalous dispersion.

Main lines, sorted by position (2θ = 10–90°):
12.54 deg, 7.060 Å, intensity 41; 23.12 deg, 3.847 Å, intensity 52; 27.63 deg, 3.228 Å, intensity 23; 30.27 deg, 2.953 Å, intensity 100; 31.96 deg, 2.800 Å, intensity 36; 41.13 deg, 2.195 Å, intensity 23; 42.55 deg, 2.125 Å, intensity 20; 43.21 deg, 2.094 Å, intensity 12; 47.10 deg, 1.930 Å, intensity 15; 55.86 deg, 1.646 Å, intensity 20

Cell lengths 5.6052, 7.9823, 7.0599 Å; angles 90.00, 90.00, 90.00 degrees
Element x y z (fractional)
Cs: 0.2500 0.0000 0.2180
Cs: 0.7500 0.0000 0.7820
K: 0.2500 0.5000 0.3925
K: 0.7500 0.5000 0.6075
Cu: 0.0000 0.5000 0.0000
Cu: 0.5000 0.5000 0.0000
Se: 0.2500 0.2949 0.8145
Se: 0.2500 0.7051 0.8145
Se: 0.7500 0.2949 0.1855
Se: 0.7500 0.7051 0.1855

---

# 3
Structure and calculated X-ray diffraction stick pattern of CsLu2Cu3Se5 (a PBE-relaxed structure; Cu Ka).
Neutral-atom scattering factors, no anomalous dispersion.

Main lines, sorted by position (2θ = 10–90°):
24.80 deg, 3.590 Å, intensity 50; 28.40 deg, 3.143 Å, intensity 69; 28.88 deg, 3.092 Å, intensity 100; 30.29 deg, 2.951 Å, intensity 78; 31.28 deg, 2.860 Å, intensity 91; 35.40 deg, 2.535 Å, intensity 67; 37.67 deg, 2.388 Å, intensity 64; 44.19 deg, 2.049 Å, intensity 68; 47.01 deg, 1.933 Å, intensity 74; 49.70 deg, 1.835 Å, intensity 45

Cell lengths 7.6257, 7.6257, 17.1582 Å; angles 90.00, 90.00, 148.82 degrees
Element x y z (fractional)
Cs: 0.0606 0.9394 0.7500
Cs: 0.9394 0.0606 0.2500
Lu: 0.1925 0.8075 0.0918
Lu: 0.1925 0.8075 0.4082
Lu: 0.8075 0.1925 0.5918
Lu: 0.8075 0.1925 0.9082
Cu: 0.3437 0.6563 0.7500
Cu: 0.4174 0.5826 0.0328
Cu: 0.4174 0.5826 0.4672
Cu: 0.5826 0.4174 0.5328
Cu: 0.5826 0.4174 0.9672
Cu: 0.6563 0.3437 0.2500
Se: 0.1707 0.8293 0.5695
Se: 0.1707 0.8293 0.9305
Se: 0.2391 0.7609 0.2500
Se: 0.4363 0.5637 0.6125
Se: 0.4363 0.5637 0.8875
Se: 0.5637 0.4363 0.1125
Se: 0.5637 0.4363 0.3875
Se: 0.7609 0.2391 0.7500
Se: 0.8293 0.1707 0.0695
Se: 0.8293 0.1707 0.4305

---

Copy entry 1 word for word.
Structure and calculated X-ray diffraction stick pattern of Cs2KCuP (a PBE-relaxed structure; Cu Ka).
Neutral-atom scattering factors, no anomalous dispersion.

Main lines, sorted by position (2θ = 10–90°):
17.58 deg, 5.045 Å, intensity 18; 20.34 deg, 4.365 Å, intensity 32; 24.96 deg, 3.567 Å, intensity 100; 27.01 deg, 3.301 Å, intensity 70; 32.41 deg, 2.762 Å, intensity 41; 35.59 deg, 2.523 Å, intensity 39; 41.35 deg, 2.184 Å, intensity 34; 45.24 deg, 2.004 Å, intensity 36; 48.92 deg, 1.862 Å, intensity 30; 55.68 deg, 1.651 Å, intensity 29

Cell lengths 7.1348, 7.1348, 4.3651 Å; angles 90.00, 90.00, 90.00 degrees
Element x y z (fractional)
Cs: 0.0000 0.5000 0.0000
Cs: 0.5000 0.0000 0.0000
K: 0.0000 0.0000 0.5000
Cu: 0.5000 0.5000 0.0000
P: 0.5000 0.5000 0.5000